For Li9Mn2Co5O16, a crystal structure in the Materials Project, relaxed with GGA+U gives the computed powder diffraction line list in this record (CuKα).
Peak positions follow from Bragg's law for the DFT cell and can differ from measured ones.

Main lines, by angle (2θ from 10° to 90°):
2θ (°)  Rel. int.  hkl
18.37  100  0 2 0
35.87  14  1 1 2
36.01  14  0 0 4
43.21  28  1 3 2
43.70  27  0 2 -4
44.19  26  -1 3 2
62.93  15  1 5 -2
64.15  14  2 0 0

Structural model:
Lattice parameters (Å, degrees): 2.904 9.820 10.140 79.74 89.23 88.93
Space group P-1 (No. 2)
Symmetry-distinct sites (fractional):
Li (0.000, 0.000, 0.000) x1
Li (0.003, 0.750, 0.376) x2
Li (0.006, 0.755, 0.880) x2
Li (0.497, 0.758, 0.114) x2
Li (0.499, 0.748, 0.623) x2
Mn (0.499, 0.998, 0.755) x2
Co (0.000, 0.000, 0.500) x1
Co (0.001, 0.501, 0.250) x2
Co (0.500, 0.500, 0.000) x1
Co (0.500, 0.500, 0.500) x1
O (0.004, 0.894, 0.681) x2
O (0.005, 0.888, 0.199) x2
O (0.007, 0.618, 0.562) x2
O (0.014, 0.617, 0.062) x2
O (0.481, 0.384, 0.686) x2
O (0.483, 0.387, 0.189) x2
O (0.493, 0.106, 0.562) x2
O (0.499, 0.117, 0.083) x2

***

For LiCrMo2O8, a crystal structure in the Materials Project, relaxed with GGA+U gives the computed powder diffraction line list in this record (CuKα).
Peak positions follow from Bragg's law for the DFT cell and can differ from measured ones.

Main lines, by angle (2θ from 10° to 90°):
2θ (°)  Rel. int.  hkl
18.30  36  -1 1 1
21.54  37  1 1 -1
22.89  44  1 -1 1
25.44  85  0 0 2
25.67  96  0 2 0
27.09  100  2 0 -1
28.69  28  1 1 1
50.46  25  1 -4 0

Structural model:
Lattice parameters (Å, degrees): 6.826 7.238 7.528 91.45 110.33 104.89
Space group P-1 (No. 2)
Symmetry-distinct sites (fractional):
Li (0.230, 0.049, 0.255) x2
Cr (0.411, 0.600, 0.822) x2
Mo (0.175, 0.530, 0.288) x2
Mo (0.332, 0.076, 0.783) x2
O (0.091, 0.983, 0.824) x2
O (0.117, 0.555, 0.840) x2
O (0.245, 0.533, 0.541) x2
O (0.253, 0.079, 0.538) x2
O (0.276, 0.768, 0.247) x2
O (0.307, 0.366, 0.219) x2
O (0.429, 0.339, 0.892) x2
O (0.483, 0.888, 0.838) x2

***

For FeOF, a crystal structure in the Materials Project, relaxed with GGA+U gives the computed powder diffraction line list in this record (CuKα).
Peak positions follow from Bragg's law for the DFT cell and can differ from measured ones.

Main lines, by angle (2θ from 10° to 90°):
2θ (°)  Rel. int.  hkl
26.49  92  3 0 -3
26.60  90  3 0 3
34.51  100  0 1 3
39.53  34  3 1 -3
52.12  53  3 1 -6
52.25  52  3 1 6
66.16  19  0 1 9
66.36  39  9 1 0

Structural model:
Lattice parameters (Å, degrees): 14.219 3.105 14.274 90.00 90.24 90.00
Space group Pm (No. 6)
Symmetry-distinct sites (fractional):
Fe (0.000, 0.000, 0.000) x1
Fe (0.000, 0.000, 0.330) x1
Fe (0.143, 0.500, 0.166) x1
Fe (0.144, 0.500, 0.496) x1
Fe (0.147, 0.500, 0.838) x1
Fe (0.337, 0.000, 0.664) x1
Fe (0.338, 0.000, 0.327) x1
Fe (0.340, 0.000, 0.003) x1
Fe (0.476, 0.500, 0.496) x1
Fe (0.476, 0.500, 0.833) x1
Fe (0.487, 0.500, 0.165) x1
Fe (0.652, 0.000, 0.016) x1
Fe (0.652, 0.000, 0.313) x1
Fe (0.666, 0.000, 0.664) x1
Fe (0.809, 0.500, 0.164) x1
Fe (0.815, 0.500, 0.506) x1
Fe (0.816, 0.500, 0.825) x1
Fe (0.987, 0.000, 0.643) x1
O (0.051, 0.500, 0.396) x1
O (0.053, 0.500, 0.059) x1
O (0.086, 0.000, 0.890) x1
O (0.089, 0.000, 0.227) x1
O (0.095, 0.000, 0.563) x1
O (0.384, 0.500, 0.064) x1
O (0.385, 0.500, 0.729) x1
O (0.386, 0.500, 0.395) x1
O (0.422, 0.000, 0.226) x1
O (0.425, 0.000, 0.561) x1
O (0.425, 0.000, 0.895) x1
O (0.550, 0.000, 0.098) x1
O (0.589, 0.500, 0.267) x1
O (0.721, 0.500, 0.730) x1
O (0.723, 0.500, 0.057) x1
O (0.752, 0.000, 0.559) x1
O (0.760, 0.000, 0.228) x1
O (0.921, 0.500, 0.596) x1
F (0.052, 0.500, 0.727) x1
F (0.215, 0.000, 0.763) x1
F (0.218, 0.000, 0.096) x1
F (0.220, 0.000, 0.430) x1
F (0.253, 0.500, 0.263) x1
F (0.254, 0.500, 0.929) x1
F (0.257, 0.500, 0.597) x1
F (0.554, 0.000, 0.762) x1
F (0.558, 0.000, 0.436) x1
F (0.590, 0.500, 0.601) x1
F (0.595, 0.500, 0.926) x1
F (0.722, 0.500, 0.394) x1
F (0.758, 0.000, 0.895) x1
F (0.883, 0.000, 0.427) x1
F (0.889, 0.000, 0.095) x1
F (0.892, 0.000, 0.768) x1
F (0.917, 0.500, 0.929) x1
F (0.923, 0.500, 0.263) x1

***

For MgMn2P2H4O10, a crystal structure in the Materials Project, relaxed with GGA+U gives the computed powder diffraction line list in this record (CuKα).
Peak positions follow from Bragg's law for the DFT cell and can differ from measured ones.

Main lines, by angle (2θ from 10° to 90°):
2θ (°)  Rel. int.  hkl
18.28  63  1 0 -1
18.80  47  1 0 0
24.04  42  0 1 1
24.91  82  1 0 -2
25.43  100  0 1 -2
29.45  85  1 1 0
31.27  51  -1 1 2
33.93  94  1 -1 2

Structural model:
Lattice parameters (Å, degrees): 5.219 5.563 7.960 102.19 107.46 103.51
Space group P1 (No. 1)
Symmetry-distinct sites (fractional):
Mg (0.000, 0.000, 0.000) x1
Mn (0.339, 0.612, 0.105) x1
Mn (0.347, 0.569, 0.574) x1
P (0.028, 0.945, 0.339) x1
P (0.605, 0.225, 0.882) x1
H (0.121, 0.768, 0.756) x1
H (0.481, 0.295, 0.325) x1
H (0.742, 0.573, 0.397) x1
H (0.862, 0.541, 0.786) x1
O (0.044, 0.206, 0.457) x1
O (0.045, 0.746, 0.450) x1
O (0.071, 0.693, 0.848) x1
O (0.268, 0.974, 0.252) x1
O (0.361, 0.232, 0.953) x1
O (0.527, 0.489, 0.361) x1
O (0.590, 0.940, 0.791) x1
O (0.601, 0.389, 0.745) x1
O (0.756, 0.836, 0.158) x1
O (0.906, 0.337, 0.040) x1

***

For Ca3W2O9, a crystal structure in the Materials Project, relaxed with GGA+U gives the computed powder diffraction line list in this record (CuKα).
Peak positions follow from Bragg's law for the DFT cell and can differ from measured ones.

Main lines, by angle (2θ from 10° to 90°):
2θ (°)  Rel. int.  hkl
16.23  49  1 1 1
20.46  33  2 0 0
22.44  20  0 0 4
22.72  100  0 2 0
23.41  21  2 1 0
24.70  34  1 0 4
30.75  26  2 2 0
32.14  20  0 2 4

Structural model:
Lattice parameters (Å, degrees): 8.682 7.833 15.847 90.00 90.00 90.00
Space group Pnma (No. 62)
Symmetry-distinct sites (fractional):
Ca (0.000, 0.000, 0.000) x4
Ca (0.191, 0.250, 0.422) x4
Ca (0.212, 0.750, 0.139) x4
W (0.156, 0.750, 0.395) x4
W (0.244, 0.250, 0.167) x4
O (0.049, 0.250, 0.580) x4
O (0.067, 0.750, 0.618) x4
O (0.113, 0.750, 0.014) x4
O (0.141, 0.058, 0.133) x8
O (0.179, 0.750, 0.282) x4
O (0.232, 0.750, 0.780) x4
O (0.248, 0.559, 0.437) x8

***

For FePH4N2O4, a crystal structure in the Materials Project, relaxed with GGA+U gives the computed powder diffraction line list in this record (CuKα).
Peak positions follow from Bragg's law for the DFT cell and can differ from measured ones.

Main lines, by angle (2θ from 10° to 90°):
2θ (°)  Rel. int.  hkl
17.64  17  1 1 0
20.38  100  1 1 1
27.05  32  1 1 2
30.78  24  0 2 2
34.10  17  2 0 2
35.69  20  2 2 0
49.03  13  1 3 3
55.75  17  2 2 4

Structural model:
Lattice parameters (Å, degrees): 6.586 7.781 8.735 90.00 90.00 90.00
Space group Pccn (No. 56)
Symmetry-distinct sites (fractional):
Fe (0.000, 0.000, 0.000) x4
P (0.250, 0.250, 0.241) x4
H (0.122, 0.632, 0.998) x8
H (0.190, 0.619, 0.181) x8
N (0.238, 0.657, 0.073) x8
O (0.067, 0.193, 0.142) x8
O (0.181, 0.095, 0.839) x8